No. 1
Calculated X-ray diffraction stick pattern of K3Sn5Cl3F10 for a wavelength of 1.5418 Å, from a GGA-PBE-relaxed structure.
Neutral-atom scattering factors, no anomalous dispersion.

The 10 most intense peaks (2θ = 10–90°), in order of rising 2θ:
hkl  2θ/deg  d_spacing  I_rel
0 4 0  17.79  4.985  52
1 3 1  24.73  3.600  41
1 3 2  25.83  3.449  100
0 6 1  27.17  3.282  45
1 3 4  29.84  2.994  53
1 1 5  29.91  2.987  28
0 0 8  34.35  2.611  31
0 8 4  40.08  2.250  45
2 0 0  41.27  2.187  48
1 3 10  50.31  1.814  35

Atomic structure:
```
data_K3Sn5Cl3F10
_cell_length_a 4.375
_cell_length_b 19.941
_cell_length_c 20.889
_cell_angle_alpha 90.00
_cell_angle_beta 90.00
_cell_angle_gamma 90.00
_symmetry_space_group_name_H-M 'C m c m'
_symmetry_Int_Tables_number 63
_symmetry_space_group_name_Hall '-C 2c 2'
loop_
_atom_site_label
_atom_site_type_symbol
_atom_site_fract_x
_atom_site_fract_y
_atom_site_fract_z
K1 K 0.000 0.000 0.000
K2 K 0.000 0.443 0.162
Sn1 Sn 0.000 0.126 0.149
Sn2 Sn 0.000 0.198 0.750
Sn3 Sn 0.000 0.329 0.001
Cl1 Cl 0.000 0.181 0.613
Cl2 Cl 0.000 0.421 0.750
F1 F 0.000 0.025 0.127
F2 F 0.000 0.092 0.750
F3 F 0.000 0.143 0.038
F4 F 0.000 0.331 0.250
F5 F 0.000 0.374 0.602
F6 F 0.000 0.427 0.033
```

---

No. 2
Calculated X-ray diffraction stick pattern of BaSmBi2 for a wavelength of 1.5418 Å, from a GGA-PBE-relaxed structure.
Neutral-atom scattering factors, no anomalous dispersion.

The 10 most intense peaks (2θ = 10–90°), in order of rising 2θ:
hkl  2θ/deg  d_spacing  I_rel
1 0 1  22.43  3.964  12
0 1 2  23.23  3.829  26
1 0 4  26.21  3.400  17
0 1 5  28.25  3.159  100
1 0 7  33.14  2.703  30
1 1 0  38.87  2.317  51
1 0 10  41.85  2.158  22
2 0 5  48.74  1.868  23
1 1 12  58.84  1.570  20
1 2 5  64.03  1.454  20

Atomic structure:
```
data_BaSmBi2
_cell_length_a 4.6337
_cell_length_b 4.6337
_cell_length_c 25.6041
_cell_angle_alpha 90.00
_cell_angle_beta 90.00
_cell_angle_gamma 120.00
_symmetry_space_group_name_H-M 'R 3 m'
_symmetry_Int_Tables_number 160
_symmetry_space_group_name_Hall 'R 3 -2"'
loop_
_atom_site_label
_atom_site_type_symbol
_atom_site_fract_x
_atom_site_fract_y
_atom_site_fract_z
Ba1 Ba 0.0000 0.0000 0.0000
Sm1 Sm 0.0000 0.0000 0.1716
Bi1 Bi 0.0000 0.0000 0.5752
Bi2 Bi 0.0000 0.0000 0.7638
```

---

No. 3
Calculated X-ray diffraction stick pattern of Li3Cu3Rh2 for a wavelength of 1.5418 Å, from a GGA-PBE-relaxed structure.
Neutral-atom scattering factors, no anomalous dispersion.

The 10 most intense peaks (2θ = 10–90°), in order of rising 2θ:
hkl  2θ/deg  d_spacing  I_rel
1 0 0  20.95  4.240  83
1 0 1  26.11  3.413  9
0 1 2  37.81  2.379  36
2 0 0  42.63  2.121  54
1 1 2  43.62  2.075  100
1 2 0  47.95  1.897  18
2 1 2  58.29  1.583  20
2 2 0  61.87  1.500  17
3 1 2  78.74  1.215  32
2 0 4  80.80  1.190  15

Atomic structure:
```
data_Li3Cu3Rh2
_cell_length_a 4.239
_cell_length_b 4.244
_cell_length_c 5.747
_cell_angle_alpha 90.00
_cell_angle_beta 90.00
_cell_angle_gamma 90.00
_symmetry_space_group_name_H-M 'P m m m'
_symmetry_Int_Tables_number 47
loop_
_symmetry_equiv_pos_as_xyz
'x,y,z'
'-x,-y,-z'
'-x,-y,z'
'x,y,-z'
'x,-y,-z'
'-x,y,z'
'-x,y,-z'
'x,-y,z'
loop_
_atom_site_label
_atom_site_type_symbol
_atom_site_fract_x
_atom_site_fract_y
_atom_site_fract_z
Li1 Li 0.000 0.000 0.000
Li2 Li 0.000 0.500 0.256
Cu1 Cu 0.000 0.000 0.500
Cu2 Cu 0.500 0.500 0.000
Cu3 Cu 0.500 0.500 0.500
Rh1 Rh 0.500 0.000 0.249
```

---

No. 4
Calculated X-ray diffraction stick pattern of K2NaPuF8 for a wavelength of 1.5418 Å, from a GGA-PBE-relaxed structure.
Neutral-atom scattering factors, no anomalous dispersion.

The 10 most intense peaks (2θ = 10–90°), in order of rising 2θ:
hkl  2θ/deg  d_spacing  I_rel
0 0 2  15.76  5.625  33
1 0 1  16.92  5.239  100
1 1 0  21.22  4.186  29
1 1 2  26.54  3.358  86
1 0 3  28.17  3.168  19
2 1 1  34.81  2.577  21
2 1 3  41.76  2.163  20
2 2 0  43.22  2.093  21
2 0 4  44.43  2.039  40
3 1 2  51.44  1.776  27

Atomic structure:
```
data_K2NaPuF8
_cell_length_a 5.920
_cell_length_b 5.920
_cell_length_c 11.249
_cell_angle_alpha 90.00
_cell_angle_beta 90.00
_cell_angle_gamma 90.00
_symmetry_space_group_name_H-M 'I -4 m 2'
_symmetry_Int_Tables_number 119
_symmetry_space_group_name_Hall 'I -4 -2'
loop_
_atom_site_label
_atom_site_type_symbol
_atom_site_fract_x
_atom_site_fract_y
_atom_site_fract_z
K1 K 0.000 0.000 0.000
K2 K 0.000 0.500 0.250
Na1 Na 0.000 0.000 0.500
Pu1 Pu 0.000 0.500 0.750
F1 F 0.209 0.281 0.637
```